Cs2UTa6Cl15O3: simulated X-ray diffraction stick pattern (a wavelength of 1.5418 Å), based on a DFT-relaxed cell (GGA-PBE, Alexandria).
Kinematic intensities with the Lorentz-polarization factor, no thermal factor.

Crystal structure
```
data_Cs2UTa6Cl15O3
_symmetry_space_group_name_H-M 'P -3 1 c'
_symmetry_Int_Tables_number 163
_symmetry_space_group_name_Hall '-P 3 2c'
_cell_length_a 9.2213
_cell_length_b 9.2213
_cell_length_c 18.0674
_cell_angle_alpha 90.00
_cell_angle_beta 90.00
_cell_angle_gamma 120.00
loop_
_atom_site_label
_atom_site_type_symbol
_atom_site_fract_x
_atom_site_fract_y
_atom_site_fract_z
Cs1 Cs 0.3333 0.6667 0.0384
U1 U 0.3333 0.6667 0.7500
Ta1 Ta 0.0140 0.1923 0.8139
Cl1 Cl 0.0158 0.2186 0.0931
Cl2 Cl 0.0736 0.4693 0.8786
Cl3 Cl 0.2120 0.4241 0.2500
O1 O 0.1874 0.3748 0.7500
```

Main lines, sorted by position (2θ from 10° to 90°):
d 7.986, 2θ = 11.08°, intensity 100; d 5.983, 2θ = 14.81°, intensity 89; d 3.227, 2θ = 27.65°, intensity 53; d 3.018, 2θ = 29.60°, intensity 58; d 2.698, 2θ = 33.20°, intensity 40; d 2.510, 2θ = 35.78°, intensity 92; d 2.173, 2θ = 41.56°, intensity 28; d 2.132, 2θ = 42.40°, intensity 36; d 2.053, 2θ = 44.10°, intensity 44; d 1.989, 2θ = 45.62°, intensity 28